Record 1
This entry pairs a crystal structure of Sc5P12Ir19 with its computed X-ray powder pattern. Radiation: copper Kα. Structure: DFT lattice parameters and positions (GGA-PBE).
Lines closer than 0.1° are merged.

Structure:
a = 12.635 Å, b = 12.635 Å, c = 3.913 Å
α = 90.00°, β = 90.00°, γ = 120.00°
Element x y z (fractional)
Sc (0.000, 0.819, 0.000)
Sc (0.181, 0.181, 0.000)
Sc (0.333, 0.667, 0.500)
Sc (0.667, 0.333, 0.500)
Sc (0.819, 0.000, 0.000)
P (0.000, 0.176, 0.500)
P (0.000, 0.647, 0.500)
P (0.171, 0.484, 0.000)
P (0.176, 0.000, 0.500)
P (0.313, 0.829, 0.000)
P (0.353, 0.353, 0.500)
P (0.484, 0.171, 0.000)
P (0.516, 0.687, 0.000)
P (0.647, 0.000, 0.500)
P (0.687, 0.516, 0.000)
P (0.824, 0.824, 0.500)
P (0.829, 0.313, 0.000)
Ir (0.000, 0.000, 0.500)
Ir (0.000, 0.285, 0.000)
Ir (0.000, 0.465, 0.500)
Ir (0.136, 0.642, 0.000)
Ir (0.181, 0.372, 0.500)
Ir (0.191, 0.819, 0.500)
Ir (0.285, 0.000, 0.000)
Ir (0.358, 0.495, 0.000)
Ir (0.372, 0.181, 0.500)
Ir (0.465, 0.000, 0.500)
Ir (0.495, 0.358, 0.000)
Ir (0.505, 0.864, 0.000)
Ir (0.535, 0.535, 0.500)
Ir (0.628, 0.809, 0.500)
Ir (0.642, 0.136, 0.000)
Ir (0.715, 0.715, 0.000)
Ir (0.809, 0.628, 0.500)
Ir (0.819, 0.191, 0.500)
Ir (0.864, 0.505, 0.000)

Peak list (12 most intense, 2θ from 10° to 80°, in order of rising 2θ)
- 14.02 deg, rel. 173
- 21.49 deg, rel. 171
- 28.25 deg, rel. 190
- 31.48 deg, rel. 197
- 36.56 deg, rel. 1000
- 37.51 deg, rel. 127
- 46.42 deg, rel. 193
- 47.61 deg, rel. 183
- 50.01 deg, rel. 159
- 50.75 deg, rel. 131
- 70.61 deg, rel. 114
- 79.51 deg, rel. 107



Record 2
This entry pairs a crystal structure of LiZnSi2 with its computed X-ray powder pattern. Radiation: copper Kα. Structure: DFT lattice parameters and positions (GGA-PBE).
Lines closer than 0.1° are merged.

Structure:
a = 2.630 Å, b = 4.571 Å, c = 5.024 Å
α = 90.00°, β = 90.00°, γ = 90.00°
Element x y z (fractional)
Li (0.000, 0.000, 0.000)
Zn (0.500, 0.500, 0.232)
Si (0.500, 0.000, 0.504)
Si (0.500, 0.500, 0.738)

Peak list (12 most intense, 2θ from 10° to 80°, in order of rising 2θ)
- 17.65 deg, rel. 474
- 19.42 deg, rel. 860
- 26.36 deg, rel. 510
- 34.09 deg, rel. 735
- 35.74 deg, rel. 195
- 39.43 deg, rel. 568
- 39.53 deg, rel. 373
- 41.00 deg, rel. 1000
- 43.58 deg, rel. 429
- 50.22 deg, rel. 187
- 53.09 deg, rel. 392
- 54.33 deg, rel. 831



Record 3
This entry pairs a crystal structure of KMgCd3 with its computed X-ray powder pattern. Radiation: copper Kα. Structure: DFT lattice parameters and positions (GGA-PBE).
Lines closer than 0.1° are merged.

Structure:
a = 7.814 Å, b = 7.814 Å, c = 5.815 Å
α = 90.00°, β = 90.00°, γ = 126.46°
Element x y z (fractional)
K (0.098, 0.902, 0.750)
K (0.902, 0.098, 0.250)
Mg (0.500, 0.500, 0.000)
Mg (0.500, 0.500, 0.500)
Cd (0.121, 0.439, 0.750)
Cd (0.312, 0.688, 0.250)
Cd (0.439, 0.121, 0.250)
Cd (0.561, 0.879, 0.750)
Cd (0.688, 0.312, 0.750)
Cd (0.879, 0.561, 0.250)

Peak list (12 most intense, 2θ from 10° to 80°, in order of rising 2θ)
- 12.69 deg, rel. 427
- 19.88 deg, rel. 136
- 22.92 deg, rel. 150
- 27.64 deg, rel. 131
- 30.75 deg, rel. 378
- 32.38 deg, rel. 1000
- 33.38 deg, rel. 167
- 34.57 deg, rel. 146
- 38.71 deg, rel. 296
- 39.54 deg, rel. 364
- 42.03 deg, rel. 172
- 55.72 deg, rel. 199



Record 4
This entry pairs a crystal structure of NdTh2MnN4 with its computed X-ray powder pattern. Radiation: copper Kα. Structure: DFT lattice parameters and positions (GGA-PBE).
Lines closer than 0.1° are merged.

Structure:
a = 6.197 Å, b = 6.197 Å, c = 12.081 Å
α = 90.00°, β = 90.00°, γ = 146.18°
Element x y z (fractional)
Nd (0.099, 0.901, 0.750)
Nd (0.901, 0.099, 0.250)
Th (0.369, 0.631, 0.555)
Th (0.369, 0.631, 0.945)
Th (0.631, 0.369, 0.055)
Th (0.631, 0.369, 0.445)
Mn (0.168, 0.832, 0.250)
Mn (0.832, 0.168, 0.750)
N (0.000, 0.000, 0.000)
N (0.000, 0.000, 0.500)
N (0.269, 0.731, 0.121)
N (0.269, 0.731, 0.379)
N (0.444, 0.556, 0.750)
N (0.556, 0.444, 0.250)
N (0.731, 0.269, 0.621)
N (0.731, 0.269, 0.879)

Peak list (12 most intense, 2θ from 10° to 80°, in order of rising 2θ)
- 26.76 deg, rel. 1000
- 29.83 deg, rel. 894
- 30.14 deg, rel. 515
- 33.66 deg, rel. 283
- 34.23 deg, rel. 253
- 34.48 deg, rel. 349
- 36.88 deg, rel. 622
- 40.31 deg, rel. 215
- 45.85 deg, rel. 348
- 51.03 deg, rel. 281
- 51.40 deg, rel. 260
- 58.20 deg, rel. 248



Record 5
This entry pairs a crystal structure of La4Os with its computed X-ray powder pattern. Radiation: copper Kα. Structure: DFT lattice parameters and positions (GGA-PBE).
Lines closer than 0.1° are merged.

Structure:
a = 7.673 Å, b = 7.673 Å, c = 7.673 Å
α = 108.58°, β = 108.58°, γ = 111.27°
Element x y z (fractional)
La (0.079, 0.377, 0.296)
La (0.081, 0.784, 0.704)
La (0.127, 0.329, 0.796)
La (0.216, 0.921, 0.298)
La (0.534, 0.331, 0.204)
La (0.623, 0.919, 0.702)
La (0.669, 0.873, 0.202)
La (0.671, 0.466, 0.798)
Os (0.000, 0.000, 0.000)
Os (0.750, 0.250, 0.500)

Peak list (12 most intense, 2θ from 10° to 80°, in order of rising 2θ)
- 14.22 deg, rel. 491
- 19.82 deg, rel. 364
- 28.18 deg, rel. 212
- 28.67 deg, rel. 1000
- 31.70 deg, rel. 718
- 32.58 deg, rel. 599
- 37.67 deg, rel. 395
- 37.96 deg, rel. 346
- 40.27 deg, rel. 356
- 47.94 deg, rel. 229
- 52.14 deg, rel. 282
- 58.00 deg, rel. 209



Record 6
This entry pairs a crystal structure of Sm2Ni3 with its computed X-ray powder pattern. Radiation: copper Kα. Structure: DFT lattice parameters and positions (GGA-PBE).
Lines closer than 0.1° are merged.

Structure:
a = 12.441 Å, b = 12.441 Å, c = 4.025 Å
α = 90.00°, β = 90.00°, γ = 161.87°
Element x y z (fractional)
Sm (0.070, 0.930, 0.750)
Sm (0.202, 0.798, 0.250)
Sm (0.798, 0.202, 0.750)
Sm (0.930, 0.070, 0.250)
Ni (0.328, 0.672, 0.250)
Ni (0.382, 0.618, 0.750)
Ni (0.476, 0.524, 0.750)
Ni (0.524, 0.476, 0.250)
Ni (0.618, 0.382, 0.250)
Ni (0.672, 0.328, 0.750)

Peak list (12 most intense, 2θ from 10° to 80°, in order of rising 2θ)
- 26.47 deg, rel. 282
- 29.07 deg, rel. 164
- 33.74 deg, rel. 1000
- 34.29 deg, rel. 590
- 36.86 deg, rel. 232
- 43.13 deg, rel. 290
- 45.04 deg, rel. 259
- 46.33 deg, rel. 310
- 57.81 deg, rel. 258
- 65.14 deg, rel. 162
- 66.59 deg, rel. 156
- 79.26 deg, rel. 120